Diffraction record for Pr2BeGe3Ir4. The PXRD pattern is theoretical, not measured: it uses a structure optimized by DFT (GGA-PBE) and copper Kα.

Cell and atoms:
a = 4.2271 Å, b = 4.2271 Å, c = 10.1625 Å
α = 90.00°, β = 90.00°, γ = 90.00°
Space group P-4m2 (No. 115)
Symmetry-distinct sites (fractional):
Pr1 0.0000 0.5000 0.2432 [2 per cell]
Be1 0.5000 0.5000 0.0000 [1 per cell]
Ge1 0.0000 0.0000 0.0000 [1 per cell]
Ge2 0.0000 0.5000 0.6338 [2 per cell]
Ir1 0.0000 0.0000 0.5000 [1 per cell]
Ir2 0.0000 0.5000 0.8787 [2 per cell]
Ir3 0.5000 0.5000 0.5000 [1 per cell]

Main lines, in order of rising 2θ (10 to 90 degrees two-theta):
hkl 1 1 1, d = 2.868 Å, 2θ 31.2, intensity 56
hkl 1 0 3, d = 2.643 Å, 2θ 33.9, intensity 84
hkl 1 1 2, d = 2.576 Å, 2θ 34.8, intensity 100
hkl 2 0 0, d = 2.114 Å, 2θ 42.8, intensity 83
hkl 1 1 4, d = 1.936 Å, 2θ 46.9, intensity 39
hkl 1 0 5, d = 1.832 Å, 2θ 49.8, intensity 28
hkl 2 1 3, d = 1.651 Å, 2θ 55.7, intensity 41
hkl 2 2 0, d = 1.495 Å, 2θ 62.1, intensity 28

---

Diffraction record for La8Rh3CBr3. The PXRD pattern is theoretical, not measured: it uses a structure optimized by DFT (GGA-PBE) and copper Kα.

Cell and atoms:
a = 14.4094 Å, b = 8.2957 Å, c = 9.1566 Å
α = 90.00°, β = 121.57°, γ = 90.00°
Space group C2/m (No. 12)
Symmetry-distinct sites (fractional):
La1 0.0154 0.2350 0.3126 [8 per cell]
La2 0.2193 0.0000 0.6868 [4 per cell]
La3 0.2343 0.5000 0.7023 [4 per cell]
Rh1 0.0000 0.5000 0.5000 [2 per cell]
Rh2 0.2500 0.2500 0.5000 [4 per cell]
C1 0.0000 0.0000 0.5000 [2 per cell]
Br1 0.0000 0.0000 0.0000 [2 per cell]
Br2 0.2500 0.2500 0.0000 [4 per cell]

Main lines, in order of rising 2θ (10 to 90 degrees two-theta):
hkl 0 0 1, d = 7.801 Å, 2θ 11.3, intensity 30
hkl 2 2 0, d = 3.438 Å, 2θ 25.9, intensity 13
hkl 4 0 0, d = 3.064 Å, 2θ 29.1, intensity 100
hkl 2 2 -3, d = 2.449 Å, 2θ 36.7, intensity 19
hkl 2 2 2, d = 2.270 Å, 2θ 39.7, intensity 25
hkl 0 4 0, d = 2.077 Å, 2θ 43.6, intensity 38
hkl 4 0 -5, d = 1.831 Å, 2θ 49.8, intensity 13
hkl 4 4 0, d = 1.719 Å, 2θ 53.3, intensity 17

---

Diffraction record for Ho2AgGe2. The PXRD pattern is theoretical, not measured: it uses a structure optimized by DFT (GGA-PBE) and copper Kα.

Cell and atoms:
a = 7.1157 Å, b = 7.1157 Å, c = 8.5176 Å
α = 90.00°, β = 90.00°, γ = 90.00°
Space group P4/mnc (No. 128)
Symmetry-distinct sites (fractional):
Ho1 0.1754 0.3246 0.0000 [8 per cell]
Ag1 0.0000 0.0000 0.2496 [4 per cell]
Ge1 0.1267 0.6267 0.2500 [8 per cell]

Main lines, in order of rising 2θ (10 to 90 degrees two-theta):
hkl 2 1 0, d = 3.182 Å, 2θ 28.0, intensity 12
hkl 2 0 2, d = 2.730 Å, 2θ 32.8, intensity 47
hkl 2 1 2, d = 2.549 Å, 2θ 35.2, intensity 100
hkl 3 1 0, d = 2.250 Å, 2θ 40.1, intensity 33
hkl 0 0 4, d = 2.129 Å, 2θ 42.5, intensity 22
hkl 4 1 2, d = 1.599 Å, 2θ 57.6, intensity 17
hkl 3 1 4, d = 1.547 Å, 2θ 59.8, intensity 20
hkl 2 1 6, d = 1.296 Å, 2θ 73.0, intensity 12

---

Diffraction record for Sr2CeSb3. The PXRD pattern is theoretical, not measured: it uses a structure optimized by DFT (GGA-PBE) and copper Kα.

Cell and atoms:
a = 4.5199 Å, b = 6.5637 Å, c = 14.4290 Å
α = 90.00°, β = 90.00°, γ = 90.00°
Space group Immm (No. 71)
Symmetry-distinct sites (fractional):
Sr1 0.0000 0.0000 0.1743 [4 per cell]
Ce1 0.0000 0.0000 0.5000 [2 per cell]
Sb1 0.0000 0.5000 0.1495 [4 per cell]
Sb2 0.0000 0.5000 0.5000 [2 per cell]

Main lines, in order of rising 2θ (10 to 90 degrees two-theta):
hkl 0 2 0, d = 3.290 Å, 2θ 27.1, intensity 100
hkl 0 0 6, d = 2.405 Å, 2θ 37.4, intensity 12
hkl 1 2 3, d = 2.325 Å, 2θ 38.7, intensity 51
hkl 2 0 0, d = 2.260 Å, 2θ 39.9, intensity 12
hkl 0 2 6, d = 1.940 Å, 2θ 46.8, intensity 13
hkl 2 2 0, d = 1.861 Å, 2θ 48.9, intensity 13
hkl 2 2 6, d = 1.472 Å, 2θ 63.2, intensity 10
hkl 1 4 3, d = 1.469 Å, 2θ 63.3, intensity 12